Entry 1:
HfCrAgS4: theoretical powder diffractogram (λ = 1.5418 Å (Cu Kα)), based on a GGA-PBE-relaxed structure.
Intensities are scaled so that the largest is 100.

Most intense lines, 2θ from 10° to 90°, sorted by position:
| 2θ/deg | I_rel |
| --- | --- |
| 10.32 | 26 |
| 17.04 | 26 |
| 20.72 | 27 |
| 25.68 | 28 |
| 27.23 | 100 |
| 29.40 | 72 |
| 33.22 | 43 |
| 40.30 | 31 |
| 40.50 | 43 |
| 49.49 | 40 |

Cell and atoms:
abc: 3.5985 11.3438 13.0965
angles: 90.00 90.00 90.00
Space group Pmn2_1 (No. 31)
Inequivalent atoms, fractional coordinates:
Hf 0.0000 0.1615 0.0000
Hf 0.0000 0.6873 0.1898
Cr 0.0000 0.1994 0.4699
Cr 0.0000 0.6750 0.6871
Ag 0.0000 0.0086 0.2728
Ag 0.0000 0.5060 0.4184
S 0.0000 0.1622 0.6516
S 0.0000 0.2821 0.2993
S 0.0000 0.3690 0.0662
S 0.0000 0.4602 0.7432
S 0.0000 0.6593 0.0032
S 0.0000 0.7856 0.3721
S 0.0000 0.8760 0.6302
S 0.0000 0.9421 0.9378

=====

Entry 2:
HfCrAgS4: theoretical powder diffractogram (λ = 1.5418 Å (Cu Kα)), based on a GGA-PBE-relaxed structure.
Intensities are scaled so that the largest is 100.

Most intense lines, 2θ from 10° to 90°, sorted by position:
| 2θ/deg | I_rel |
| --- | --- |
| 13.74 | 78 |
| 15.99 | 55 |
| 16.17 | 65 |
| 25.68 | 46 |
| 28.79 | 91 |
| 29.29 | 49 |
| 40.20 | 100 |
| 40.52 | 66 |
| 41.06 | 45 |
| 51.63 | 56 |

Cell and atoms:
abc: 14.1782 3.6018 6.0986
angles: 90.00 114.62 90.00
Space group Cm (No. 8)
Inequivalent atoms, fractional coordinates:
Hf 0.0000 0.0000 0.0000
Cr 0.4929 0.0000 0.4652
Ag 0.2484 0.5000 0.7521
S 0.0978 0.0000 0.7258
S 0.1132 0.5000 0.2669
S 0.3848 0.5000 0.2186
S 0.3901 0.0000 0.7004

=====

Entry 3:
HfCrAgS4: theoretical powder diffractogram (λ = 1.5418 Å (Cu Kα)), based on a GGA-PBE-relaxed structure.
Intensities are scaled so that the largest is 100.

Most intense lines, 2θ from 10° to 90°, sorted by position:
| 2θ/deg | I_rel |
| --- | --- |
| 15.63 | 76 |
| 27.13 | 42 |
| 27.29 | 95 |
| 29.39 | 100 |
| 33.17 | 42 |
| 40.45 | 39 |
| 41.20 | 27 |
| 49.55 | 43 |
| 50.73 | 28 |
| 58.52 | 34 |

Cell and atoms:
abc: 3.5993 13.1490 11.2988
angles: 90.00 90.00 90.00
Space group Pmc2_1 (No. 26)
Inequivalent atoms, fractional coordinates:
Hf 0.0000 0.1331 0.0000
Hf 0.0000 0.3457 0.4723
Cr 0.5000 0.1551 0.6402
Cr 0.5000 0.3602 0.1141
Ag 0.0000 0.0815 0.3127
Ag 0.5000 0.4144 0.7994
S 0.0000 0.0407 0.5916
S 0.0000 0.2716 0.6819
S 0.0000 0.3257 0.9746
S 0.0000 0.4022 0.2546
S 0.5000 0.0905 0.8466
S 0.5000 0.1813 0.1498
S 0.5000 0.2119 0.4392
S 0.5000 0.4667 0.5345

=====

Entry 4:
HfCrAgS4: theoretical powder diffractogram (λ = 1.5418 Å (Cu Kα)), based on a GGA-PBE-relaxed structure.
Intensities are scaled so that the largest is 100.

Most intense lines, 2θ from 10° to 90°, sorted by position:
| 2θ/deg | I_rel |
| --- | --- |
| 13.51 | 72 |
| 19.60 | 75 |
| 20.14 | 64 |
| 28.29 | 63 |
| 28.79 | 82 |
| 29.24 | 38 |
| 39.78 | 100 |
| 40.32 | 86 |
| 40.90 | 51 |
| 51.57 | 45 |

Cell and atoms:
abc: 6.1100 3.5989 6.5549
angles: 90.00 91.53 90.00
Space group P2/m (No. 10)
Inequivalent atoms, fractional coordinates:
Hf 0.0000 0.0000 0.0000
Cr 0.5000 0.5000 0.0000
Ag 0.5000 0.5000 0.5000
S 0.1799 0.5000 0.2184
S 0.3412 0.0000 0.7892